Starting from a cell relaxed with GGA+U, the XRD peak list of Fe5O7F3 was computed for λ = 1.5418 Å (Cu Kα).
Lines closer than 0.1° are merged.

Cell and atoms:
a b c (Å): 4.6669 4.6771 15.2334
angles (deg): 90.10 90.01 91.57
Element x y z (fractional)
Fe 0.0000 0.0000 0.0000
Fe 0.0009 0.0426 0.6046
Fe 0.0050 0.0460 0.4038
Fe 0.0204 0.0364 0.2041
Fe 0.0339 0.0673 0.8106
Fe 0.4970 0.5671 0.1115
Fe 0.5177 0.5338 0.9054
Fe 0.5332 0.5011 0.6983
Fe 0.5357 0.5143 0.5027
Fe 0.5406 0.5104 0.3051
O 0.1920 0.8513 0.1067
O 0.2171 0.8345 0.9038
O 0.3219 0.3392 0.2075
O 0.3273 0.3290 0.5990
O 0.3307 0.3348 0.4034
O 0.3437 0.3511 0.8050
O 0.6879 0.7182 0.0061
O 0.7160 0.7186 0.6008
O 0.7167 0.7189 0.4037
O 0.7171 0.7306 0.2087
O 0.8166 0.2332 0.9081
O 0.8285 0.2166 0.5026
O 0.8372 0.2163 0.3011
O 0.8415 0.2233 0.7065
F 0.2154 0.8319 0.5026
F 0.2227 0.8328 0.3064
F 0.2267 0.8350 0.7042
F 0.3014 0.3349 0.0098
F 0.7287 0.7350 0.8015
F 0.8063 0.2333 0.1039

Main lines, sorted by position (10 to 90 degrees two-theta):
2θ = 26.62°, d 3.349, I 95, hkl 1 -1 0
2θ = 27.38°, d 3.258, I 93, hkl 1 1 0
2θ = 35.17°, d 2.552, I 100, hkl 0 1 -5
2θ = 38.56°, d 2.335, I 17, hkl 2 0 0
2θ = 52.72°, d 1.736, I 42, hkl 2 -1 5
2θ = 53.58°, d 1.710, I 40, hkl 2 1 -5
2θ = 60.81°, d 1.523, I 16, hkl 0 0 10
2θ = 67.61°, d 1.386, I 33, hkl 3 0 5